Theoretical X-ray diffraction stick pattern
Compound: In2Ga2Pd7
Radiation: a wavelength of 1.5418 Å
Structure: the GGA-PBE geometry in Alexandria

Structural model:
```
In2Ga2Pd7
1.0
4.6751 0.0000 0.0000
-0.8789 6.6163 0.0000
-2.0126 -2.9602 5.8999
In Ga Pd
2 2 7
direct
0.1941 0.1893 0.3045 In
0.8059 0.8107 0.6955 In
0.4587 0.7213 0.1885 Ga
0.5413 0.2787 0.8115 Ga
0.1141 0.3054 0.9664 Pd
0.2361 0.8721 0.5087 Pd
0.2446 0.5434 0.7077 Pd
0.5000 0.0000 0.0000 Pd
0.7554 0.4566 0.2923 Pd
0.7639 0.1279 0.4914 Pd
0.8859 0.6946 0.0336 Pd
```

Largest 8 diffraction maxima, in order of rising 2θ, 2θ from 10° to 90°:
2θ (°), Rel. int.
35.91, 21
38.87, 17
39.12, 41
39.79, 30
39.96, 100
40.05, 51
41.27, 32
51.02, 15

Theoretical X-ray diffraction stick pattern
Compound: InGa3Pd3
Radiation: a wavelength of 1.5418 Å
Structure: the GGA-PBE geometry in Alexandria

Structural model:
```
InGa3Pd3
1.0
6.9062 0.0000 0.0000
0.0000 6.9062 0.0000
0.0000 0.0000 6.9062
In Ga Pd
2 6 6
direct
0.0000 0.0000 0.0000 In
0.5000 0.5000 0.5000 In
0.0000 0.2500 0.5000 Ga
0.0000 0.7500 0.5000 Ga
0.2500 0.5000 0.0000 Ga
0.5000 0.0000 0.2500 Ga
0.5000 0.0000 0.7500 Ga
0.7500 0.5000 0.0000 Ga
0.0000 0.5000 0.2500 Pd
0.0000 0.5000 0.7500 Pd
0.2500 0.0000 0.5000 Pd
0.5000 0.2500 0.0000 Pd
0.5000 0.7500 0.0000 Pd
0.7500 0.0000 0.5000 Pd
```

Largest 8 diffraction maxima, in order of rising 2θ, 2θ from 10° to 90°:
2θ (°), Rel. int.
25.80, 43
31.74, 100
45.50, 25
49.37, 57
53.04, 28
59.90, 16
78.32, 17
86.96, 16

Theoretical X-ray diffraction stick pattern
Compound: InGa3Pd
Radiation: a wavelength of 1.5418 Å
Structure: the GGA-PBE geometry in Alexandria

Structural model:
```
InGa3Pd
1.0
6.5748 0.0000 0.0000
0.0000 3.7510 0.0000
-2.9363 0.0000 7.7171
In Ga Pd
2 6 2
direct
0.1506 0.0000 0.1578 In
0.8494 0.5000 0.8422 In
0.0812 0.9978 0.6482 Ga
0.3304 0.4984 0.9042 Ga
0.3465 0.4990 0.5110 Ga
0.6535 0.9990 0.4890 Ga
0.6696 0.9984 0.0958 Ga
0.9188 0.4978 0.3518 Ga
0.4991 0.9997 0.7480 Pd
0.5009 0.4997 0.2520 Pd
```

Largest 8 diffraction maxima, in order of rising 2θ, 2θ from 10° to 90°:
2θ (°), Rel. int.
32.87, 81
33.31, 88
36.36, 49
37.85, 100
41.94, 52
43.70, 45
43.91, 40
48.54, 52

What did the third record say?
Theoretical X-ray diffraction stick pattern
Compound: InGa3Pd
Radiation: a wavelength of 1.5418 Å
Structure: the GGA-PBE geometry in Alexandria

Structural model:
```
InGa3Pd
1.0
6.5748 0.0000 0.0000
0.0000 3.7510 0.0000
-2.9363 0.0000 7.7171
In Ga Pd
2 6 2
direct
0.1506 0.0000 0.1578 In
0.8494 0.5000 0.8422 In
0.0812 0.9978 0.6482 Ga
0.3304 0.4984 0.9042 Ga
0.3465 0.4990 0.5110 Ga
0.6535 0.9990 0.4890 Ga
0.6696 0.9984 0.0958 Ga
0.9188 0.4978 0.3518 Ga
0.4991 0.9997 0.7480 Pd
0.5009 0.4997 0.2520 Pd
```

Largest 8 diffraction maxima, in order of rising 2θ, 2θ from 10° to 90°:
2θ (°), Rel. int.
32.87, 81
33.31, 88
36.36, 49
37.85, 100
41.94, 52
43.70, 45
43.91, 40
48.54, 52